Theoretical X-ray diffraction stick pattern
Compound: Sn5Hg
Radiation: Cu Kα (weighted mean of Kα1 and Kα2)
Structure: a structure optimized by DFT (GGA-PBE)
Neutral-atom scattering factors, no anomalous dispersion.

Peak list (10 most intense, 15° ≤ 2θ ≤ 90°, low angle first)
| 2θ (°) | I/Imax |
| --- | --- |
| 32.52 | 100 |
| 36.60 | 37 |
| 39.88 | 14 |
| 52.73 | 13 |
| 55.24 | 22 |
| 63.33 | 31 |
| 67.79 | 12 |
| 68.10 | 12 |
| 86.88 | 7 |
| 89.20 | 7 |

Structural model:
```
data_Sn5Hg
_cell_length_a 3.472
_cell_length_b 3.472
_cell_length_c 13.563
_cell_angle_alpha 90.00
_cell_angle_beta 90.00
_cell_angle_gamma 90.00
_symmetry_space_group_name_H-M 'P 1'
_symmetry_Int_Tables_number 1
loop_
_symmetry_equiv_pos_as_xyz
'x,y,z'
loop_
_atom_site_label
_atom_site_type_symbol
_atom_site_fract_x
_atom_site_fract_y
_atom_site_fract_z
_atom_site_occupancy
Sn1 Sn 0.000 0.000 0.000 1
Sn2 Sn 0.000 0.000 0.340 1
Sn3 Sn 0.000 0.000 0.660 1
Sn4 Sn 0.500 0.500 0.172 1
Sn5 Sn 0.500 0.500 0.828 1
Hg1 Hg 0.500 0.500 0.500 1
```

Theoretical X-ray diffraction stick pattern
Compound: Sn2Hg5
Radiation: Cu Kα (weighted mean of Kα1 and Kα2)
Structure: a structure optimized by DFT (GGA-PBE)
Neutral-atom scattering factors, no anomalous dispersion.

Peak list (10 most intense, 15° ≤ 2θ ≤ 90°, low angle first)
| 2θ (°) | I/Imax |
| --- | --- |
| 29.48 | 100 |
| 38.58 | 50 |
| 45.55 | 31 |
| 49.28 | 25 |
| 61.18 | 13 |
| 64.27 | 23 |
| 69.80 | 9 |
| 74.28 | 15 |
| 74.70 | 15 |
| 82.69 | 6 |

Structural model:
```
data_Sn2Hg5
_cell_length_a 11.013
_cell_length_b 11.013
_cell_length_c 11.013
_cell_angle_alpha 24.47
_cell_angle_beta 24.47
_cell_angle_gamma 24.47
_symmetry_space_group_name_H-M 'P 1'
_symmetry_Int_Tables_number 1
loop_
_symmetry_equiv_pos_as_xyz
'x,y,z'
loop_
_atom_site_label
_atom_site_type_symbol
_atom_site_fract_x
_atom_site_fract_y
_atom_site_fract_z
_atom_site_occupancy
Sn1 Sn 0.146 0.146 0.146 1
Sn2 Sn 0.854 0.854 0.854 1
Hg1 Hg 0.000 0.000 0.000 1
Hg2 Hg 0.285 0.285 0.285 1
Hg3 Hg 0.429 0.429 0.429 1
Hg4 Hg 0.571 0.571 0.571 1
Hg5 Hg 0.715 0.715 0.715 1
```

Theoretical X-ray diffraction stick pattern
Compound: Sn4Hg
Radiation: Cu Kα (weighted mean of Kα1 and Kα2)
Structure: a structure optimized by DFT (GGA-PBE)
Neutral-atom scattering factors, no anomalous dispersion.

Peak list (10 most intense, 15° ≤ 2θ ≤ 90°, low angle first)
| 2θ (°) | I/Imax |
| --- | --- |
| 30.10 | 43 |
| 31.26 | 100 |
| 31.63 | 37 |
| 31.96 | 42 |
| 33.30 | 18 |
| 41.14 | 14 |
| 42.12 | 23 |
| 43.95 | 23 |
| 44.60 | 20 |
| 70.62 | 13 |

Structural model:
```
data_Sn4Hg
_cell_length_a 6.562
_cell_length_b 6.562
_cell_length_c 6.529
_cell_angle_alpha 92.97
_cell_angle_beta 92.97
_cell_angle_gamma 83.95
_symmetry_space_group_name_H-M 'P 1'
_symmetry_Int_Tables_number 1
loop_
_symmetry_equiv_pos_as_xyz
'x,y,z'
loop_
_atom_site_label
_atom_site_type_symbol
_atom_site_fract_x
_atom_site_fract_y
_atom_site_fract_z
_atom_site_occupancy
Sn1 Sn 0.048 0.226 0.001 1
Sn2 Sn 0.181 0.506 0.662 1
Sn3 Sn 0.226 0.048 0.501 1
Sn4 Sn 0.494 0.819 0.838 1
Sn5 Sn 0.506 0.181 0.162 1
Sn6 Sn 0.774 0.952 0.499 1
Sn7 Sn 0.819 0.494 0.338 1
Sn8 Sn 0.952 0.774 0.999 1
Hg1 Hg 0.355 0.645 0.250 1
Hg2 Hg 0.645 0.355 0.750 1
```

Theoretical X-ray diffraction stick pattern
Compound: SnHg8
Radiation: Cu Kα (weighted mean of Kα1 and Kα2)
Structure: a structure optimized by DFT (GGA-PBE)
Neutral-atom scattering factors, no anomalous dispersion.

Peak list (10 most intense, 15° ≤ 2θ ≤ 90°, low angle first)
| 2θ (°) | I/Imax |
| --- | --- |
| 29.61 | 52 |
| 30.18 | 100 |
| 30.77 | 75 |
| 31.38 | 26 |
| 34.24 | 18 |
| 36.38 | 39 |
| 38.04 | 39 |
| 39.35 | 16 |
| 42.25 | 62 |
| 45.01 | 24 |

Structural model:
```
data_SnHg8
_cell_length_a 5.305
_cell_length_b 6.728
_cell_length_c 7.525
_cell_angle_alpha 108.98
_cell_angle_beta 90.85
_cell_angle_gamma 98.43
_symmetry_space_group_name_H-M 'P 1'
_symmetry_Int_Tables_number 1
loop_
_symmetry_equiv_pos_as_xyz
'x,y,z'
loop_
_atom_site_label
_atom_site_type_symbol
_atom_site_fract_x
_atom_site_fract_y
_atom_site_fract_z
_atom_site_occupancy
Sn1 Sn 0.000 0.000 0.000 1
Hg1 Hg 0.141 0.643 0.390 1
Hg2 Hg 0.280 0.623 0.955 1
Hg3 Hg 0.294 0.131 0.706 1
Hg4 Hg 0.373 0.225 0.329 1
Hg5 Hg 0.627 0.775 0.671 1
Hg6 Hg 0.706 0.869 0.294 1
Hg7 Hg 0.720 0.377 0.045 1
Hg8 Hg 0.859 0.357 0.610 1
```

Theoretical X-ray diffraction stick pattern
Compound: Sn2Hg
Radiation: Cu Kα (weighted mean of Kα1 and Kα2)
Structure: a structure optimized by DFT (GGA-PBE)
Neutral-atom scattering factors, no anomalous dispersion.

Peak list (10 most intense, 15° ≤ 2θ ≤ 90°, low angle first)
| 2θ (°) | I/Imax |
| --- | --- |
| 31.94 | 100 |
| 34.52 | 26 |
| 37.83 | 65 |
| 52.82 | 24 |
| 56.29 | 20 |
| 63.07 | 15 |
| 64.64 | 27 |
| 66.78 | 13 |
| 67.73 | 12 |
| 86.71 | 13 |

Structural model:
```
data_Sn2Hg
_cell_length_a 3.467
_cell_length_b 3.467
_cell_length_c 7.794
_cell_angle_alpha 90.00
_cell_angle_beta 90.00
_cell_angle_gamma 120.00
_symmetry_space_group_name_H-M 'P 1'
_symmetry_Int_Tables_number 1
loop_
_symmetry_equiv_pos_as_xyz
'x,y,z'
loop_
_atom_site_label
_atom_site_type_symbol
_atom_site_fract_x
_atom_site_fract_y
_atom_site_fract_z
_atom_site_occupancy
Sn1 Sn 0.333 0.667 0.170 1
Sn2 Sn 0.667 0.333 0.830 1
Hg1 Hg 0.000 0.000 0.500 1
```

Theoretical X-ray diffraction stick pattern
Compound: SrSn4Hg6
Radiation: Cu Kα (weighted mean of Kα1 and Kα2)
Structure: a structure optimized by DFT (GGA-PBE)
Neutral-atom scattering factors, no anomalous dispersion.

Peak list (10 most intense, 15° ≤ 2θ ≤ 90°, low angle first)
| 2θ (°) | I/Imax |
| --- | --- |
| 23.08 | 61 |
| 26.11 | 76 |
| 27.92 | 44 |
| 31.33 | 31 |
| 34.39 | 40 |
| 35.15 | 56 |
| 35.83 | 100 |
| 37.88 | 37 |
| 41.20 | 28 |
| 48.34 | 39 |

Structural model:
```
data_SrSn4Hg6
_cell_length_a 7.739
_cell_length_b 7.739
_cell_length_c 7.739
_cell_angle_alpha 117.11
_cell_angle_beta 117.11
_cell_angle_gamma 95.09
_symmetry_space_group_name_H-M 'P 1'
_symmetry_Int_Tables_number 1
loop_
_symmetry_equiv_pos_as_xyz
'x,y,z'
loop_
_atom_site_label
_atom_site_type_symbol
_atom_site_fract_x
_atom_site_fract_y
_atom_site_fract_z
_atom_site_occupancy
Sr1 Sr 0.000 0.000 0.000 1
Sn1 Sn 0.229 0.229 0.612 1
Sn2 Sn 0.383 0.771 0.000 1
Sn3 Sn 0.617 0.617 0.388 1
Sn4 Sn 0.771 0.383 0.000 1
Hg1 Hg 0.000 0.500 0.500 1
Hg2 Hg 0.142 0.432 0.000 1
Hg3 Hg 0.432 0.142 0.000 1
Hg4 Hg 0.500 0.000 0.500 1
Hg5 Hg 0.568 0.568 0.710 1
Hg6 Hg 0.858 0.858 0.290 1
```